# 1
The following is a computed X-ray diffraction stick pattern of SmHoPu2S4. It was derived from a DFT-relaxed cell (GGA-PBE, Alexandria), using a wavelength of 1.5418 Å.
No peak broadening, texture or thermal motion is included.

Cell and atoms:
Unit cell a=6.8330 b=3.9412 c=6.8644 alpha=90.00 beta=109.33 gamma=90.00
Space group P2/m (No. 10)
Symmetry-distinct sites (fractional):
Sm 0.0000 0.0000 0.0000 x1
Ho 0.5000 0.5000 0.0000 x1
Pu 0.0000 0.5000 0.5000 x1
Pu 0.5000 0.0000 0.5000 x1
S 0.2558 0.0000 0.7521 x2
S 0.2556 0.5000 0.2520 x2

Principal peaks in the range 2θ from 10° to 90°, low angle first:
2θ/deg  d_spacing  I/Imax
27.54  3.239  24
27.69  3.222  71
32.04  2.794  100
45.84  1.979  37
46.04  1.972  36
54.32  1.689  12
54.50  1.684  28
57.19  1.611  19
66.99  1.397  12
74.10  1.279  10
76.06  1.251  17
76.34  1.247  17


# 2
The following is a computed X-ray diffraction stick pattern of HoPu2Te2S2. It was derived from a DFT-relaxed cell (GGA-PBE, Alexandria), using a wavelength of 1.5418 Å.
No peak broadening, texture or thermal motion is included.

Cell and atoms:
Unit cell a=5.0631 b=5.0631 c=15.8806 alpha=90.00 beta=90.00 gamma=90.00
Space group I4/mmm (No. 139)
Symmetry-distinct sites (fractional):
Ho 0.0000 0.0000 0.0000 x2
Pu 0.0000 0.0000 0.3835 x4
Te 0.0000 0.0000 0.1872 x4
S 0.0000 0.5000 0.0000 x4

Principal peaks in the range 2θ from 10° to 90°, low angle first:
2θ/deg  d_spacing  I/Imax
24.33  3.659  13
24.87  3.580  100
33.30  2.691  93
33.71  2.659  19
35.46  2.532  55
49.43  1.844  62
51.02  1.790  20
57.56  1.601  22
62.30  1.490  16
73.78  1.284  19
84.61  1.145  14
85.83  1.132  9


# 3
The following is a computed X-ray diffraction stick pattern of Ho3PuTl4S8. It was derived from a DFT-relaxed cell (GGA-PBE, Alexandria), using a wavelength of 1.5418 Å.
No peak broadening, texture or thermal motion is included.

Cell and atoms:
Unit cell a=8.0692 b=8.0692 c=22.5154 alpha=90.00 beta=90.00 gamma=120.00
Space group R-3m (No. 166, hexagonal axes)
Symmetry-distinct sites (fractional):
Ho 0.0000 0.5000 0.0000 x9
Pu 0.0000 0.0000 0.0000 x3
Tl 0.0000 0.0000 0.5000 x3
Tl 0.0000 0.5000 0.5000 x9
S 0.0000 0.0000 0.2677 x6
S 0.0036 0.5018 0.2677 x18

Principal peaks in the range 2θ from 10° to 90°, low angle first:
2θ/deg  d_spacing  I/Imax
23.71  3.753  33
26.71  3.337  68
30.10  2.969  100
41.19  2.192  39
44.93  2.017  34
48.07  1.893  18
51.43  1.777  26
55.04  1.669  18
62.58  1.484  11
68.27  1.374  16
73.68  1.286  15
80.30  1.196  11


# 4
The following is a computed X-ray diffraction stick pattern of Ho2TmPu3S6. It was derived from a DFT-relaxed cell (GGA-PBE, Alexandria), using a wavelength of 1.5418 Å.
No peak broadening, texture or thermal motion is included.

Cell and atoms:
Unit cell a=17.0663 b=3.9037 c=7.8276 alpha=90.00 beta=103.11 gamma=90.00
Space group C2/m (No. 12)
Symmetry-distinct sites (fractional):
Ho 0.1663 0.0000 0.3359 x4
Tm 0.0000 0.5000 0.0000 x2
Pu 0.0000 0.5000 0.5000 x2
Pu 0.1670 0.0000 0.8343 x4
S 0.0015 0.0000 0.2445 x4
S 0.1648 0.5000 0.0862 x4
S 0.1684 0.5000 0.5816 x4

Principal peaks in the range 2θ from 10° to 90°, low angle first:
2θ/deg  d_spacing  I/Imax
27.94  3.194  97
32.37  2.766  100
46.41  1.957  61
46.53  1.952  12
54.99  1.670  20
55.09  1.667  20
57.77  1.596  19
74.82  1.269  12
77.07  1.237  17
77.23  1.235  11
86.11  1.129  11
86.24  1.128  9